Record 1
The following is a computed X-ray powder pattern of AcPm2NdDy4. It was derived from the GGA-PBE geometry in Alexandria, using λ = 1.5418 Å (Cu Kα).
Intensities are scaled so that the largest is 100.

Cell: 13.866 13.482 6.946 Å, 90.00 120.06 90.00°
Space group C2/c (No. 15)
Inequivalent atoms, fractional coordinates:
Ac  0.250  0.250  0.000 x4
Pm  0.000  0.000  0.000 x4
Pm  0.250  0.250  0.500 x4
Nd  0.000  0.500  0.000 x4
Dy  0.000  0.249  0.013 x8
Dy  0.249  0.008  0.498 x8

The 10 most intense peaks (2θ from 10° to 90°), in order of rising 2θ:
| hkl | 2θ (°) | d (Å) | Rel. int. |
| --- | --- | --- | --- |
| 0 4 0 | 26.4 | 3.370 | 45 |
| 4 0 0 | 29.7 | 3.004 | 100 |
| 0 4 2 | 40.2 | 2.243 | 59 |
| 4 4 0 | 40.2 | 2.241 | 29 |
| 4 0 2 | 52.8 | 1.733 | 14 |
| 4 4 -4 | 59.9 | 1.544 | 9 |
| 4 4 2 | 60.0 | 1.541 | 18 |
| 0 0 4 | 61.7 | 1.503 | 8 |
| 4 8 0 | 63.3 | 1.470 | 23 |
| 0 4 4 | 68.3 | 1.373 | 12 |

=====

Record 2
The following is a computed X-ray powder pattern of AlV3Ni. It was derived from the GGA-PBE geometry in Alexandria, using λ = 1.5418 Å (Cu Kα).
Intensities are scaled so that the largest is 100.

Cell: 5.036 4.145 6.433 Å, 90.00 103.64 90.00°
Space group P2_1/m (No. 11)
Inequivalent atoms, fractional coordinates:
Al  0.238  0.250  0.242 x2
V  0.163  0.750  0.547 x2
V  0.341  0.750  0.955 x2
V  0.446  0.250  0.658 x2
Ni  0.055  0.250  0.849 x2

The 10 most intense peaks (2θ from 10° to 90°), in order of rising 2θ:
| hkl | 2θ (°) | d (Å) | Rel. int. |
| --- | --- | --- | --- |
| 0 1 1 | 25.8 | 3.455 | 8 |
| 2 1 -1 | 42.4 | 2.132 | 72 |
| 1 0 -3 | 43.0 | 2.105 | 35 |
| 0 2 0 | 43.7 | 2.072 | 100 |
| 3 0 1 | 62.1 | 1.495 | 12 |
| 1 2 -3 | 62.9 | 1.477 | 20 |
| 3 1 -4 | 77.4 | 1.232 | 10 |
| 3 2 1 | 79.0 | 1.212 | 10 |
| 2 3 -1 | 79.3 | 1.208 | 10 |
| 1 3 2 | 80.2 | 1.197 | 19 |

=====

Record 3
The following is a computed X-ray powder pattern of MgTlAgBr6. It was derived from the GGA-PBE geometry in Alexandria, using λ = 1.5418 Å (Cu Kα).
Intensities are scaled so that the largest is 100.

Cell: 6.9327 6.9327 12.9099 Å, 90.00 90.00 120.00°
Space group P-31c (No. 163)
Inequivalent atoms, fractional coordinates:
Mg  0.3333  0.6667  0.2500 x2
Tl  0.3333  0.6667  0.7500 x2
Ag  0.0000  0.0000  0.0000 x2
Br  0.0124  0.3537  0.1280 x12

The 10 most intense peaks (2θ from 10° to 90°), in order of rising 2θ:
| hkl | 2θ (°) | d (Å) | Rel. int. |
| --- | --- | --- | --- |
| 1 0 1 | 16.3 | 5.444 | 37 |
| 1 0 2 | 20.2 | 4.396 | 67 |
| 1 0 3 | 25.5 | 3.498 | 20 |
| 1 1 2 | 29.2 | 3.054 | 100 |
| 1 1 4 | 38.1 | 2.362 | 87 |
| 2 1 2 | 42.2 | 2.141 | 21 |
| 3 0 0 | 45.3 | 2.001 | 52 |
| 2 -1 6 | 49.9 | 1.828 | 23 |
| 4 -2 4 | 60.6 | 1.527 | 21 |
| 3 0 8 | 75.7 | 1.256 | 22 |